Starting from a PBE-relaxed structure, the PXRD pattern of PmDy4Tm3 was simulated for copper Kα.
No peak broadening, texture or thermal motion is included.

Structural model:
Lattice parameters (Å, degrees): 25.9155 5.6108 3.5438 90.00 90.04 90.00
Fractional coordinates of all 16 atoms:
Pm  0.0000  0.0000  0.0000
Pm  0.5000  0.5000  0.0000
Dy  0.1050  0.0000  0.5003
Dy  0.2240  0.0000  0.4991
Dy  0.2760  0.5000  0.5009
Dy  0.3950  0.5000  0.4997
Dy  0.6050  0.5000  0.5003
Dy  0.7240  0.5000  0.4991
Dy  0.7760  0.0000  0.5009
Dy  0.8950  0.0000  0.4997
Tm  0.0000  0.5000  0.5000
Tm  0.1558  0.5000  0.9996
Tm  0.3442  0.0000  0.0004
Tm  0.5000  0.0000  0.5000
Tm  0.6558  0.0000  0.9996
Tm  0.8442  0.5000  0.0004

Principal peaks in the range 10 to 80 degrees two-theta, by angle:
Position (°2θ)  d [Å]  I/Imax  hkl
27.5  3.239  14  8 0 0
28.9  3.090  29  7 1 0
31.6  2.831  100  3 1 1
31.9  2.805  48  0 2 0
32.7  2.740  25  6 0 -1
34.6  2.594  13  5 1 -1
35.0  2.562  34  9 1 0
46.3  1.960  19  6 2 -1
56.7  1.625  19  3 3 1
62.0  1.497  31  0 2 2